Hf2GaTe6: computed powder diffraction line list (λ = 1.5418 Å (Cu Kα)), based on a GGA-PBE-relaxed structure.
No peak broadening, texture or thermal motion is included.

Most intense lines, 2θ from 10° to 90°, low angle first:
2θ = 18.36°, intensity 77; 2θ = 28.37°, intensity 100; 2θ = 29.22°, intensity 34; 2θ = 36.53°, intensity 82; 2θ = 37.22°, intensity 45; 2θ = 43.67°, intensity 22; 2θ = 45.44°, intensity 62; 2θ = 47.45°, intensity 19; 2θ = 58.69°, intensity 23; 2θ = 78.90°, intensity 25

```
data_Hf2GaTe6
_chemical_formula_sum 'Hf4 Ga2 Te12'
_space_group_name_H-M_alt 'P 42/m n m'
_space_group_IT_number 136
_space_group_name_Hall '-P 4n 2n'
_cell_length_a 6.833
_cell_length_b 6.833
_cell_length_c 12.436
_cell_angle_alpha 90.00
_cell_angle_beta 90.00
_cell_angle_gamma 90.00
loop_
_atom_site_label
_atom_site_type_symbol
_atom_site_fract_x
_atom_site_fract_y
_atom_site_fract_z
Hf1 Hf 0.000 0.000 0.158
Ga1 Ga 0.000 0.000 0.500
Te1 Te 0.198 0.198 0.329
Te2 Te 0.206 0.206 0.000
```